This entry pairs a crystal structure of Tb2PmTmMg with its calculated powder diffractogram. Radiation: copper Kα. Structure: the GGA-PBE geometry in Alexandria.
Kinematic intensities with the Lorentz-polarization factor, no thermal factor.

Crystal structure
```
data_Tb2PmTmMg
_chemical_formula_sum 'Tb4 Pm2 Tm2 Mg2'
_cell_length_a 6.153
_cell_length_b 5.595
_cell_length_c 9.358
_cell_angle_alpha 90.00
_cell_angle_beta 108.75
_cell_angle_gamma 90.00
_symmetry_space_group_name_H-M 'P 1 21/m 1'
_symmetry_Int_Tables_number 11
loop_
_symmetry_equiv_pos_as_xyz
'x,y,z'
'-x,-y,-z'
'-x,y+1/2,-z'
'x,-y+1/2,z'
loop_
_atom_site_label
_atom_site_fract_x
_atom_site_fract_y
_atom_site_fract_z
_atom_site_occupancy
Tb1 0.049 0.250 0.301 1
Tb2 0.124 0.750 0.105 1
Pm1 0.463 0.250 0.112 1
Tm1 0.340 0.750 0.501 1
Mg1 0.270 0.250 0.693 1
```

The 10 most intense peaks (10° ≤ 2θ ≤ 90°), in order of rising 2θ:
22.04 deg, rel. 11, hkl 1 1 0; 29.00 deg, rel. 21, hkl 1 0 2; 29.17 deg, rel. 13, hkl 1 0 -3; 31.99 deg, rel. 36, hkl 0 2 0; 33.21 deg, rel. 100, hkl 2 1 -1; 33.37 deg, rel. 45, hkl 1 1 -3; 43.72 deg, rel. 14, hkl 1 2 2; 51.62 deg, rel. 18, hkl 0 0 5; 57.80 deg, rel. 21, hkl 2 3 -1; 61.74 deg, rel. 12, hkl 3 2 1